(1)
Calculated powder X-ray diffraction pattern
Compound: Bi4B3O12
Radiation: Cu Kα, 1.54184 Å
Structure: a cell relaxed with PBE

Most intense lines, 2θ = 10–90°, most intense first:
2θ = 28.8°, I 100
2θ = 22.2°, I 87
2θ = 47.3°, I 71
2θ = 34.2°, I 66
2θ = 45.4°, I 43
2θ = 58.0°, I 30
2θ = 85.2°, I 21
2θ = 61.3°, I 20
2θ = 25.7°, I 19
2θ = 59.7°, I 16

Atomic structure:
a = 8.484 Å, b = 8.484 Å, c = 8.484 Å
α = 109.47°, β = 109.47°, γ = 109.47°
Positions (direct):
Bi 0.000 0.148 0.500
Bi 0.000 0.648 0.500
Bi 0.148 0.500 0.000
Bi 0.352 0.352 0.352
Bi 0.500 0.000 0.148
Bi 0.500 0.000 0.648
Bi 0.648 0.500 0.000
Bi 0.852 0.852 0.852
B 0.125 0.875 0.250
B 0.250 0.125 0.875
B 0.375 0.625 0.750
B 0.625 0.750 0.375
B 0.750 0.375 0.625
B 0.875 0.250 0.125
O 0.076 0.324 0.162
O 0.086 0.924 0.748
O 0.161 0.838 0.414
O 0.162 0.076 0.324
O 0.176 0.252 0.839
O 0.248 0.424 0.586
O 0.252 0.839 0.176
O 0.324 0.162 0.076
O 0.338 0.661 0.914
O 0.339 0.752 0.676
O 0.414 0.161 0.838
O 0.424 0.586 0.248
O 0.576 0.662 0.824
O 0.586 0.248 0.424
O 0.661 0.914 0.338
O 0.662 0.824 0.576
O 0.676 0.339 0.752
O 0.748 0.086 0.924
O 0.752 0.676 0.339
O 0.824 0.576 0.662
O 0.838 0.414 0.161
O 0.839 0.176 0.252
O 0.914 0.338 0.661
O 0.924 0.748 0.086


(2)
Calculated powder X-ray diffraction pattern
Compound: Bi3B7O12
Radiation: Cu Kα, 1.54184 Å
Structure: a cell relaxed with PBE

Most intense lines, 2θ = 10–90°, most intense first:
2θ = 14.2°, I 100
2θ = 29.9°, I 53
2θ = 30.3°, I 38
2θ = 28.7°, I 32
2θ = 37.1°, I 32
2θ = 29.5°, I 29
2θ = 13.2°, I 27
2θ = 20.4°, I 26
2θ = 31.9°, I 25
2θ = 22.3°, I 22

Atomic structure:
a = 7.004 Å, b = 9.242 Å, c = 9.593 Å
α = 95.42°, β = 103.41°, γ = 98.18°
Positions (direct):
Bi 0.016 0.341 0.007
Bi 0.129 0.051 0.178
Bi 0.328 0.780 0.251
Bi 0.672 0.220 0.749
Bi 0.871 0.949 0.822
Bi 0.984 0.659 0.993
B 0.136 0.723 0.512
B 0.147 0.256 0.703
B 0.208 0.301 0.465
B 0.293 0.534 0.797
B 0.318 0.071 0.866
B 0.409 0.807 0.901
B 0.489 0.690 0.671
B 0.511 0.310 0.329
B 0.591 0.193 0.099
B 0.682 0.929 0.134
B 0.707 0.466 0.203
B 0.792 0.699 0.535
B 0.853 0.744 0.297
B 0.864 0.277 0.488
O 0.007 0.320 0.414
O 0.068 0.757 0.371
O 0.162 0.125 0.780
O 0.198 0.394 0.814
O 0.266 0.256 0.599
O 0.267 0.660 0.881
O 0.288 0.923 0.869
O 0.326 0.321 0.373
O 0.337 0.737 0.557
O 0.410 0.546 0.705
O 0.453 0.201 0.192
O 0.483 0.172 0.942
O 0.517 0.828 0.058
O 0.547 0.799 0.808
O 0.590 0.454 0.295
O 0.663 0.263 0.443
O 0.674 0.679 0.627
O 0.712 0.077 0.131
O 0.733 0.340 0.119
O 0.734 0.744 0.401
O 0.802 0.606 0.186
O 0.838 0.875 0.220
O 0.932 0.243 0.629
O 0.993 0.680 0.586


(3)
Calculated powder X-ray diffraction pattern
Compound: Bi6B10O21
Radiation: Cu Kα, 1.54184 Å
Structure: a cell relaxed with PBE

Most intense lines, 2θ = 10–90°, most intense first:
2θ = 26.3°, I 100
2θ = 14.1°, I 51
2θ = 31.5°, I 46
2θ = 28.6°, I 46
2θ = 24.4°, I 44
2θ = 23.6°, I 44
2θ = 38.0°, I 41
2θ = 14.9°, I 39
2θ = 32.9°, I 35
2θ = 27.8°, I 31

Atomic structure:
a = 6.978 Å, b = 7.399 Å, c = 10.942 Å
α = 74.50°, β = 85.64°, γ = 64.57°
Positions (direct):
Bi 0.138 0.246 0.131
Bi 0.212 0.003 0.932
Bi 0.266 0.294 0.573
Bi 0.734 0.706 0.427
Bi 0.788 0.997 0.068
Bi 0.862 0.754 0.869
B 0.144 0.796 0.533
B 0.149 0.648 0.274
B 0.372 0.450 0.904
B 0.409 0.799 0.227
B 0.459 0.581 0.685
B 0.541 0.419 0.315
B 0.591 0.201 0.773
B 0.628 0.550 0.096
B 0.851 0.352 0.726
B 0.856 0.204 0.467
O 0.000 0.000 0.500
O 0.060 0.320 0.739
O 0.085 0.644 0.520
O 0.187 0.823 0.236
O 0.236 0.483 0.002
O 0.312 0.451 0.317
O 0.342 0.754 0.579
O 0.359 0.616 0.805
O 0.432 0.975 0.240
O 0.461 0.385 0.672
O 0.483 0.751 0.099
O 0.517 0.249 0.901
O 0.539 0.615 0.328
O 0.568 0.025 0.760
O 0.641 0.384 0.195
O 0.658 0.246 0.421
O 0.688 0.549 0.683
O 0.764 0.517 0.998
O 0.813 0.177 0.764
O 0.915 0.356 0.480
O 0.940 0.680 0.261


(4)
Calculated powder X-ray diffraction pattern
Compound: Bi4B6O15
Radiation: Cu Kα, 1.54184 Å
Structure: a cell relaxed with PBE

Most intense lines, 2θ = 10–90°, most intense first:
2θ = 30.4°, I 100
2θ = 29.8°, I 96
2θ = 21.6°, I 84
2θ = 30.1°, I 70
2θ = 22.0°, I 58
2θ = 25.2°, I 56
2θ = 32.0°, I 55
2θ = 46.5°, I 37
2θ = 29.6°, I 33
2θ = 39.9°, I 30

Atomic structure:
a = 6.405 Å, b = 6.405 Å, c = 19.612 Å
α = 97.27°, β = 97.27°, γ = 41.62°
Positions (direct):
Bi 0.051 0.660 0.700
Bi 0.057 0.685 0.906
Bi 0.315 0.943 0.594
Bi 0.340 0.949 0.800
Bi 0.660 0.051 0.200
Bi 0.685 0.057 0.406
Bi 0.943 0.315 0.094
Bi 0.949 0.340 0.300
B 0.035 0.625 0.528
B 0.194 0.606 0.088
B 0.214 0.656 0.304
B 0.344 0.786 0.196
B 0.375 0.965 0.972
B 0.394 0.806 0.412
B 0.606 0.194 0.588
B 0.625 0.035 0.028
B 0.656 0.214 0.804
B 0.786 0.344 0.696
B 0.806 0.394 0.912
B 0.965 0.375 0.472
O 0.031 0.226 0.971
O 0.053 0.298 0.707
O 0.067 0.514 0.452
O 0.096 0.537 0.138
O 0.153 0.847 0.250
O 0.178 0.800 0.374
O 0.200 0.822 0.126
O 0.226 0.031 0.471
O 0.298 0.053 0.207
O 0.311 0.514 0.565
O 0.332 0.521 0.801
O 0.463 0.904 0.362
O 0.479 0.668 0.699
O 0.486 0.689 0.935
O 0.486 0.933 0.048
O 0.514 0.067 0.952
O 0.514 0.311 0.065
O 0.521 0.332 0.301
O 0.537 0.096 0.638
O 0.668 0.479 0.199
O 0.689 0.486 0.435
O 0.702 0.947 0.793
O 0.774 0.969 0.529
O 0.800 0.178 0.874
O 0.822 0.200 0.626
O 0.847 0.153 0.750
O 0.904 0.463 0.862
O 0.933 0.486 0.548
O 0.947 0.702 0.293
O 0.969 0.774 0.029


(5)
Calculated powder X-ray diffraction pattern
Compound: BiBO3
Radiation: Cu Kα, 1.54184 Å
Structure: a cell relaxed with PBE

Most intense lines, 2θ = 10–90°, most intense first:
2θ = 24.7°, I 100
2θ = 30.8°, I 47
2θ = 23.5°, I 43
2θ = 42.0°, I 33
2θ = 21.7°, I 27
2θ = 32.2°, I 26
2θ = 45.9°, I 22
2θ = 52.8°, I 22
2θ = 41.0°, I 18
2θ = 46.1°, I 17

Atomic structure:
a = 6.275 Å, b = 5.399 Å, c = 7.584 Å
α = 90.00°, β = 90.00°, γ = 90.00°
Positions (direct):
Bi 0.148 0.055 0.000
Bi 0.352 0.555 0.500
Bi 0.648 0.445 0.000
Bi 0.852 0.945 0.500
B 0.116 0.574 0.182
B 0.384 0.074 0.682
B 0.616 0.926 0.182
B 0.884 0.426 0.682
O 0.019 0.395 0.542
O 0.142 0.767 0.305
O 0.250 0.370 0.200
O 0.250 0.870 0.700
O 0.358 0.267 0.805
O 0.481 0.895 0.042
O 0.519 0.105 0.542
O 0.642 0.733 0.305
O 0.750 0.130 0.200
O 0.750 0.630 0.700
O 0.858 0.233 0.805
O 0.981 0.605 0.042


(6)
Calculated powder X-ray diffraction pattern
Compound: BiBPbO4
Radiation: Cu Kα, 1.54184 Å
Structure: a cell relaxed with PBE

Most intense lines, 2θ = 10–90°, most intense first:
2θ = 29.0°, I 100
2θ = 27.9°, I 89
2θ = 26.2°, I 50
2θ = 23.1°, I 40
2θ = 51.0°, I 28
2θ = 50.7°, I 25
2θ = 36.2°, I 23
2θ = 23.5°, I 19
2θ = 34.7°, I 18
2θ = 16.4°, I 18

Atomic structure:
a = 7.708 Å, b = 7.568 Å, c = 10.572 Å
α = 90.00°, β = 133.18°, γ = 90.00°
Positions (direct):
Bi 0.185 0.000 0.343
Bi 0.185 0.500 0.843
Bi 0.815 0.000 0.657
Bi 0.815 0.500 0.157
B 0.000 0.249 0.009
B 0.000 0.251 0.509
B 0.000 0.749 0.491
B 0.000 0.751 0.991
Pb 0.500 0.108 0.183
Pb 0.500 0.392 0.683
Pb 0.500 0.608 0.317
Pb 0.500 0.892 0.817
O 0.002 0.248 0.879
O 0.002 0.252 0.379
O 0.206 0.205 0.179
O 0.206 0.295 0.679
O 0.206 0.705 0.028
O 0.206 0.795 0.528
O 0.500 0.101 0.605
O 0.500 0.399 0.105
O 0.500 0.601 0.895
O 0.500 0.899 0.395
O 0.794 0.205 0.472
O 0.794 0.295 0.972
O 0.794 0.705 0.321
O 0.794 0.795 0.821
O 0.998 0.748 0.621
O 0.998 0.752 0.121